No. 1
Theoretical X-ray powder pattern
Compound: FeNiP6
Radiation: Cu Kα (λ = 1.5418 Å)
Structure: a crystal structure in Alexandria, relaxed with GGA-PBE

Crystal structure
a b c (Å): 6.719 6.719 7.757
angles (deg): 125.19 125.19 70.62
Positions (direct):
Fe1 0.000 0.500 0.000
Fe2 0.500 0.000 0.000
Ni1 0.000 0.500 0.500
Ni2 0.500 0.000 0.500
P1 0.140 0.849 0.344
P2 0.151 0.860 0.656
P3 0.204 0.505 0.860
P4 0.344 0.344 0.197
P5 0.354 0.354 0.498
P6 0.495 0.796 0.140
P7 0.505 0.204 0.860
P8 0.646 0.646 0.502
P9 0.656 0.656 0.803
P10 0.796 0.495 0.140
P11 0.849 0.140 0.344
P12 0.860 0.151 0.656

Top 6 peaks for 2θ from 10° to 90°, sorted by position:
| two_theta | d [Å] | Rel. int. |
| --- | --- | --- |
| 22.9 | 3.881 | 84 |
| 32.6 | 2.745 | 63 |
| 36.6 | 2.455 | 100 |
| 40.2 | 2.241 | 31 |
| 52.7 | 1.736 | 96 |
| 58.2 | 1.585 | 50 |



No. 2
Theoretical X-ray powder pattern
Compound: LiFeI5
Radiation: Cu Kα (λ = 1.5418 Å)
Structure: a crystal structure in Alexandria, relaxed with GGA-PBE

Crystal structure
a b c (Å): 10.944 8.482 14.201
angles (deg): 90.00 90.00 90.00
Positions (direct):
Li1 0.143 0.250 0.155
Li2 0.357 0.750 0.655
Li3 0.643 0.250 0.345
Li4 0.857 0.750 0.845
Fe1 0.075 0.750 0.156
Fe2 0.425 0.250 0.656
Fe3 0.575 0.750 0.344
Fe4 0.925 0.250 0.844
I1 0.058 0.504 0.260
I2 0.058 0.996 0.260
I3 0.119 0.250 0.950
I4 0.139 0.750 0.564
I5 0.245 0.750 0.042
I6 0.255 0.250 0.542
I7 0.361 0.250 0.064
I8 0.381 0.750 0.450
I9 0.442 0.004 0.760
I10 0.442 0.496 0.760
I11 0.558 0.504 0.240
I12 0.558 0.996 0.240
I13 0.619 0.250 0.550
I14 0.639 0.750 0.936
I15 0.745 0.750 0.458
I16 0.755 0.250 0.958
I17 0.861 0.250 0.436
I18 0.881 0.750 0.050
I19 0.942 0.004 0.740
I20 0.942 0.496 0.740

Top 6 peaks for 2θ from 10° to 90°, sorted by position:
| two_theta | d [Å] | Rel. int. |
| --- | --- | --- |
| 18.2 | 4.875 | 39 |
| 20.5 | 4.334 | 56 |
| 24.4 | 3.641 | 100 |
| 24.9 | 3.580 | 47 |
| 27.3 | 3.262 | 56 |
| 41.7 | 2.167 | 35 |



No. 3
Theoretical X-ray powder pattern
Compound: Y7Ho2Pu
Radiation: Cu Kα (λ = 1.5418 Å)
Structure: a crystal structure in Alexandria, relaxed with GGA-PBE

Crystal structure
a b c (Å): 15.109 15.109 3.489
angles (deg): 90.08 90.08 156.48
Positions (direct):
Y1 0.000 0.000 0.000
Y2 0.149 0.346 0.285
Y3 0.208 0.792 0.500
Y4 0.346 0.149 0.285
Y5 0.654 0.851 0.715
Y6 0.792 0.208 0.500
Y7 0.851 0.654 0.715
Ho1 0.309 0.691 0.000
Ho2 0.691 0.309 0.000
Pu1 0.500 0.500 0.500

Top 6 peaks for 2θ from 10° to 90°, sorted by position:
| two_theta | d [Å] | Rel. int. |
| --- | --- | --- |
| 30.2 | 2.958 | 92 |
| 30.7 | 2.909 | 59 |
| 30.9 | 2.893 | 100 |
| 31.5 | 2.843 | 72 |
| 34.3 | 2.612 | 73 |
| 36.5 | 2.461 | 56 |



No. 4
Theoretical X-ray powder pattern
Compound: Y6Te3AsPb2
Radiation: Cu Kα (λ = 1.5418 Å)
Structure: a crystal structure in Alexandria, relaxed with GGA-PBE

Crystal structure
a b c (Å): 9.768 9.768 8.767
angles (deg): 103.02 103.02 25.78
Positions (direct):
Y1 0.002 0.002 0.229
Y2 0.332 0.332 0.423
Y3 0.343 0.343 0.917
Y4 0.657 0.657 0.083
Y5 0.668 0.668 0.577
Y6 0.998 0.998 0.771
Te1 0.167 0.167 0.834
Te2 0.500 0.500 0.500
Te3 0.833 0.833 0.166
As1 0.500 0.500 0.000
Pb1 0.166 0.166 0.331
Pb2 0.834 0.834 0.669

Top 6 peaks for 2θ from 10° to 90°, sorted by position:
| two_theta | d [Å] | Rel. int. |
| --- | --- | --- |
| 28.9 | 3.090 | 100 |
| 41.2 | 2.192 | 12 |
| 41.3 | 2.184 | 50 |
| 41.4 | 2.179 | 13 |
| 51.3 | 1.780 | 13 |
| 75.5 | 1.259 | 12 |